Record 1
This entry pairs a crystal structure of Na2In3Hg6 with its calculated powder diffractogram. Radiation: CuKα. Structure: a GGA-PBE-relaxed structure.
Lines closer than 0.1° are merged.

Atomic structure:
Unit cell a=9.342 b=9.342 c=3.680 alpha=90.00 beta=90.00 gamma=114.54
Positions (direct):
Na: 0.211 0.211 0.000
Na: 0.789 0.789 0.000
In: 0.256 0.744 0.000
In: 0.500 0.500 0.500
In: 0.744 0.256 0.000
Hg: 0.097 0.903 0.500
Hg: 0.140 0.447 0.500
Hg: 0.447 0.140 0.500
Hg: 0.553 0.860 0.500
Hg: 0.860 0.553 0.500
Hg: 0.903 0.097 0.500

Most intense lines, 10 to 90 degrees two-theta, in order of rising 2θ:
two_theta	I (rel.)
24.18	91
31.58	56
32.18	100
33.36	89
38.72	89
40.17	57
49.54	59
67.36	77

***

Record 2
This entry pairs a crystal structure of La7PrSm3 with its calculated powder diffractogram. Radiation: CuKα. Structure: a GGA-PBE-relaxed structure.
Lines closer than 0.1° are merged.

Atomic structure:
Unit cell a=7.362 b=7.362 c=8.756 alpha=90.00 beta=90.00 gamma=120.00
Positions (direct):
La: 0.000 0.000 0.000
La: 0.004 0.502 0.024
La: 0.168 0.337 0.669
La: 0.168 0.832 0.669
La: 0.498 0.502 0.024
La: 0.498 0.996 0.024
La: 0.663 0.832 0.669
Pr: 0.667 0.333 0.690
Sm: 0.333 0.167 0.346
Sm: 0.833 0.167 0.346
Sm: 0.833 0.667 0.346

Most intense lines, 10 to 90 degrees two-theta, in order of rising 2θ:
two_theta	I (rel.)
29.83	100
30.63	30
34.81	65
49.52	24
50.58	22
58.89	14
59.36	27
60.30	12